LaMn9Ge4: theoretical PXRD pattern (Cu Kα (weighted mean of Kα1 and Kα2)), based on the GGA-PBE geometry in Alexandria.
Kinematic intensities with the Lorentz-polarization factor, no thermal factor.

Cell and atoms:
```
data_LaMn9Ge4
_cell_length_a 8.060
_cell_length_b 8.060
_cell_length_c 11.914
_cell_angle_alpha 90.00
_cell_angle_beta 90.00
_cell_angle_gamma 90.00
_space_group_name_H-M_alt 'I 4/m c m'
_space_group_IT_number 140
_space_group_name_Hall '-I 4 2c'
loop_
_atom_site_label
_atom_site_type_symbol
_atom_site_fract_x
_atom_site_fract_y
_atom_site_fract_z
La1 La 0.000 0.000 0.250
Mn1 Mn 0.000 0.500 0.000
Mn2 Mn 0.055 0.189 0.000
Mn3 Mn 0.113 0.387 0.173
Ge1 Ge 0.180 0.320 0.375
```

The 10 most intense peaks (2θ from 10° to 90°), sorted by position:
33.96 deg, rel. 47, hkl 1 1 4; 34.90 deg, rel. 28, hkl 2 2 2; 35.21 deg, rel. 31, hkl 3 1 0; 37.55 deg, rel. 76, hkl 2 0 4; 38.41 deg, rel. 100, hkl 3 1 2; 45.65 deg, rel. 57, hkl 0 0 6; 46.62 deg, rel. 57, hkl 3 2 3; 47.11 deg, rel. 65, hkl 4 1 1; 55.02 deg, rel. 20, hkl 4 0 4; 82.29 deg, rel. 24, hkl 6 2 4

PrEr8Tm6: theoretical PXRD pattern (Cu Kα (weighted mean of Kα1 and Kα2)), based on the GGA-PBE geometry in Alexandria.
Kinematic intensities with the Lorentz-polarization factor, no thermal factor.

Cell and atoms:
```
data_PrEr8Tm6
_cell_length_a 8.9260
_cell_length_b 8.9260
_cell_length_c 20.3785
_cell_angle_alpha 90.00
_cell_angle_beta 90.00
_cell_angle_gamma 120.00
_space_group_name_H-M_alt 'R -3'
_space_group_IT_number 148
_space_group_name_Hall '-R 3'
loop_
_atom_site_label
_atom_site_type_symbol
_atom_site_fract_x
_atom_site_fract_y
_atom_site_fract_z
Pr1 Pr 0.0000 0.0000 0.0000
Er1 Er 0.0000 0.0000 0.4236
Er2 Er 0.0810 0.5523 0.8089
Tm1 Tm 0.0610 0.2446 0.7072
```

The 10 most intense peaks (2θ from 10° to 90°), sorted by position:
30.92 deg, rel. 20, hkl 3 -1 1; 31.88 deg, rel. 100, hkl 3 -2 2; 32.87 deg, rel. 30, hkl 1 0 7; 33.15 deg, rel. 9, hkl 1 1 6; 35.42 deg, rel. 12, hkl 2 1 4; 37.32 deg, rel. 14, hkl 0 3 3; 53.91 deg, rel. 13, hkl 0 3 9; 54.39 deg, rel. 6, hkl 1 4 0; 56.18 deg, rel. 9, hkl 5 -1 3; 61.20 deg, rel. 11, hkl 5 -2 7

TcSnIrOsS: theoretical PXRD pattern (Cu Kα (weighted mean of Kα1 and Kα2)), based on the GGA-PBE geometry in Alexandria.
Kinematic intensities with the Lorentz-polarization factor, no thermal factor.

Cell and atoms:
```
data_TcSnIrOsS
_cell_length_a 8.702
_cell_length_b 2.966
_cell_length_c 6.486
_cell_angle_alpha 90.00
_cell_angle_beta 101.79
_cell_angle_gamma 90.00
_space_group_name_H-M_alt 'C 1 m 1'
_space_group_IT_number 8
loop_
_space_group_symop_operation_xyz
'x,y,z'
'x,-y,z'
'x+1/2,y+1/2,z'
'x+1/2,-y+1/2,z'
loop_
_atom_site_label
_atom_site_type_symbol
_atom_site_fract_x
_atom_site_fract_y
_atom_site_fract_z
Tc1 Tc 0.000 0.000 0.000
Sn1 Sn 0.454 0.500 0.537
Ir1 Ir 0.143 0.500 0.347
Os1 Os 0.267 0.000 0.744
S1 S 0.215 0.500 0.008
```

The 10 most intense peaks (2θ from 10° to 90°), sorted by position:
13.95 deg, rel. 30, hkl 0 0 1; 22.64 deg, rel. 55, hkl 2 0 -1; 27.50 deg, rel. 27, hkl 2 0 1; 34.11 deg, rel. 59, hkl 1 1 -1; 35.90 deg, rel. 64, hkl 1 1 1; 38.69 deg, rel. 69, hkl 2 0 2; 41.54 deg, rel. 100, hkl 1 1 -2; 41.90 deg, rel. 35, hkl 4 0 -1; 43.70 deg, rel. 39, hkl 2 0 -3; 44.16 deg, rel. 87, hkl 3 1 0

CsSn2Pd2: theoretical PXRD pattern (Cu Kα (weighted mean of Kα1 and Kα2)), based on the GGA-PBE geometry in Alexandria.
Kinematic intensities with the Lorentz-polarization factor, no thermal factor.

Cell and atoms:
```
data_CsSn2Pd2
_cell_length_a 12.610
_cell_length_b 7.444
_cell_length_c 8.639
_cell_angle_alpha 90.00
_cell_angle_beta 133.15
_cell_angle_gamma 90.00
_space_group_name_H-M_alt 'C 1 2/c 1'
_space_group_IT_number 15
loop_
_space_group_symop_operation_xyz
'x,y,z'
'-x,-y,-z'
'-x,y,-z+1/2'
'x,-y,z+1/2'
'x+1/2,y+1/2,z'
'-x+1/2,-y+1/2,-z'
'-x+1/2,y+1/2,-z+1/2'
'x+1/2,-y+1/2,z+1/2'
loop_
_atom_site_label
_atom_site_type_symbol
_atom_site_fract_x
_atom_site_fract_y
_atom_site_fract_z
Cs1 Cs 0.000 0.137 0.250
Sn1 Sn 0.185 0.349 0.083
Pd1 Pd 0.104 0.399 0.705
```

The 10 most intense peaks (2θ from 10° to 90°), sorted by position:
15.31 deg, rel. 31, hkl 1 1 0; 24.98 deg, rel. 40, hkl 1 1 1; 25.73 deg, rel. 30, hkl 1 1 -2; 27.85 deg, rel. 100, hkl 2 2 -1; 31.55 deg, rel. 35, hkl 3 1 0; 33.36 deg, rel. 62, hkl 3 1 -3; 39.48 deg, rel. 24, hkl 4 2 -1; 42.46 deg, rel. 28, hkl 5 1 -1; 44.61 deg, rel. 25, hkl 2 0 2; 49.86 deg, rel. 42, hkl 0 2 3

Mg2Hg9Pb: theoretical PXRD pattern (Cu Kα (weighted mean of Kα1 and Kα2)), based on the GGA-PBE geometry in Alexandria.
Kinematic intensities with the Lorentz-polarization factor, no thermal factor.

Cell and atoms:
```
data_Mg2Hg9Pb
_cell_length_a 4.492
_cell_length_b 4.501
_cell_length_c 14.638
_cell_angle_alpha 90.00
_cell_angle_beta 90.00
_cell_angle_gamma 90.00
_space_group_name_H-M_alt 'P m m m'
_space_group_IT_number 47
loop_
_space_group_symop_operation_xyz
'x,y,z'
'-x,-y,-z'
'-x,-y,z'
'x,y,-z'
'x,-y,-z'
'-x,y,z'
'-x,y,-z'
'x,-y,z'
loop_
_atom_site_label
_atom_site_type_symbol
_atom_site_fract_x
_atom_site_fract_y
_atom_site_fract_z
Mg1 Mg 0.000 0.000 0.157
Hg1 Hg 0.000 0.500 0.000
Hg2 Hg 0.000 0.500 0.321
Hg3 Hg 0.500 0.000 0.000
Hg4 Hg 0.500 0.000 0.320
Hg5 Hg 0.500 0.500 0.163
Hg6 Hg 0.500 0.500 0.500
Pb1 Pb 0.000 0.000 0.500
```

The 10 most intense peaks (2θ from 10° to 90°), sorted by position:
19.74 deg, rel. 5, hkl 1 0 0; 33.64 deg, rel. 100, hkl 1 1 3; 36.84 deg, rel. 18, hkl 0 0 6; 40.11 deg, rel. 32, hkl 2 0 0; 55.59 deg, rel. 23, hkl 2 0 6; 58.02 deg, rel. 11, hkl 2 2 0; 64.33 deg, rel. 13, hkl 1 1 9; 68.71 deg, rel. 13, hkl 1 3 3; 68.82 deg, rel. 13, hkl 3 1 3; 70.73 deg, rel. 11, hkl 2 2 6

Pm5Ga2Bi2: theoretical PXRD pattern (Cu Kα (weighted mean of Kα1 and Kα2)), based on the GGA-PBE geometry in Alexandria.
Kinematic intensities with the Lorentz-polarization factor, no thermal factor.

Cell and atoms:
```
data_Pm5Ga2Bi2
_cell_length_a 15.991
_cell_length_b 8.224
_cell_length_c 8.216
_cell_angle_alpha 90.00
_cell_angle_beta 90.00
_cell_angle_gamma 90.00
_space_group_name_H-M_alt 'C m c e'
_space_group_IT_number 64
_space_group_name_Hall '-C 2ac 2'
loop_
_atom_site_label
_atom_site_type_symbol
_atom_site_fract_x
_atom_site_fract_y
_atom_site_fract_z
Pm1 Pm 0.000 0.000 0.000
Pm2 Pm 0.129 0.173 0.329
Ga1 Ga 0.000 0.121 0.620
Bi1 Bi 0.207 0.000 0.000
```

The 10 most intense peaks (2θ from 10° to 90°), sorted by position:
29.52 deg, rel. 48, hkl 3 1 2; 30.77 deg, rel. 62, hkl 0 2 2; 31.21 deg, rel. 100, hkl 4 2 0; 31.94 deg, rel. 62, hkl 5 1 1; 33.10 deg, rel. 52, hkl 4 2 1; 34.97 deg, rel. 86, hkl 1 3 1; 44.94 deg, rel. 33, hkl 5 1 3; 55.45 deg, rel. 31, hkl 5 3 3; 63.41 deg, rel. 29, hkl 9 3 1; 64.76 deg, rel. 30, hkl 5 5 1

SmC3N6: theoretical PXRD pattern (Cu Kα (weighted mean of Kα1 and Kα2)), based on the GGA-PBE geometry in Alexandria.
Kinematic intensities with the Lorentz-polarization factor, no thermal factor.

Cell and atoms:
```
data_SmC3N6
_cell_length_a 11.4167
_cell_length_b 11.4167
_cell_length_c 3.8548
_cell_angle_alpha 90.00
_cell_angle_beta 90.00
_cell_angle_gamma 120.00
_space_group_name_H-M_alt 'R 3 m'
_space_group_IT_number 160
_space_group_name_Hall 'R 3 -2"'
loop_
_atom_site_label
_atom_site_type_symbol
_atom_site_fract_x
_atom_site_fract_y
_atom_site_fract_z
Sm1 Sm 0.0000 0.0000 0.0000
C1 C 0.1843 0.3686 0.1080
N1 N 0.0850 0.5425 0.7079
N2 N 0.1745 0.0872 0.4979
```

The 10 most intense peaks (2θ from 10° to 90°), sorted by position:
15.52 deg, rel. 100, hkl 1 1 0; 24.79 deg, rel. 27, hkl 1 0 1; 27.06 deg, rel. 13, hkl 3 0 0; 29.38 deg, rel. 27, hkl 0 2 1; 31.34 deg, rel. 28, hkl 2 2 0; 33.40 deg, rel. 34, hkl 2 1 1; 40.36 deg, rel. 24, hkl 1 3 1; 41.87 deg, rel. 14, hkl 4 1 0; 46.45 deg, rel. 16, hkl 3 2 1; 48.10 deg, rel. 11, hkl 0 1 2

Nd3AuSe2: theoretical PXRD pattern (Cu Kα (weighted mean of Kα1 and Kα2)), based on the GGA-PBE geometry in Alexandria.
Kinematic intensities with the Lorentz-polarization factor, no thermal factor.

Cell and atoms:
```
data_Nd3AuSe2
_cell_length_a 6.035
_cell_length_b 12.731
_cell_length_c 8.619
_cell_angle_alpha 90.00
_cell_angle_beta 90.02
_cell_angle_gamma 90.00
_space_group_name_H-M_alt 'P 1 21/c 1'
_space_group_IT_number 14
loop_
_space_group_symop_operation_xyz
'x,y,z'
'-x,-y,-z'
'-x,y+1/2,-z+1/2'
'x,-y+1/2,z+1/2'
loop_
_atom_site_label
_atom_site_type_symbol
_atom_site_fract_x
_atom_site_fract_y
_atom_site_fract_z
Nd1 Nd 0.249 0.082 0.128
Nd2 Nd 0.250 0.088 0.619
Nd3 Nd 0.251 0.749 0.132
Au1 Au 0.251 0.581 0.379
Se1 Se 0.249 0.249 0.874
Se2 Se 0.250 0.584 0.880
```

The 10 most intense peaks (2θ from 10° to 90°), sorted by position:
29.56 deg, rel. 100, hkl 2 0 0; 41.93 deg, rel. 13, hkl 0 0 4; 42.32 deg, rel. 51, hkl 2 3 2; 42.61 deg, rel. 13, hkl 0 6 0; 52.16 deg, rel. 14, hkl 2 0 -4; 52.74 deg, rel. 13, hkl 2 6 0; 61.32 deg, rel. 8, hkl 0 6 4; 69.58 deg, rel. 17, hkl 4 3 -2; 76.86 deg, rel. 8, hkl 2 3 -6; 77.80 deg, rel. 8, hkl 2 9 2